The following is a theoretical powder diffraction line list of Dy5Ho12Tm. It was derived from a DFT-relaxed cell (GGA-PBE, Alexandria), using Cu Kα (λ = 1.5418 Å).
Peak positions follow from Bragg's law for the DFT cell and can differ from measured ones.

Principal peaks in the range 10 to 90 degrees two-theta, sorted by position:
- 2θ = 31.13°, d = 2.873 Å, rel. 100
- 2θ = 36.11°, d = 2.488 Å, rel. 51
- 2θ = 51.98°, d = 1.759 Å, rel. 36
- 2θ = 61.82°, d = 1.501 Å, rel. 28
- 2θ = 61.90°, d = 1.499 Å, rel. 14
- 2θ = 64.92°, d = 1.436 Å, rel. 12

Structural model:
```
Dy5Ho12Tm
1.0
7.456 -7.473 0.000
7.456 7.473 0.000
0.000 0.000 4.974
Dy Ho Tm
5 12 1
direct
0.000 0.000 0.000
0.167 0.833 0.500
0.334 0.666 0.000
0.666 0.334 0.000
0.833 0.167 0.500
0.000 0.334 0.000
0.000 0.666 0.000
0.167 0.167 0.500
0.167 0.500 0.500
0.334 0.000 0.000
0.334 0.334 0.000
0.500 0.167 0.500
0.500 0.833 0.500
0.666 0.000 0.000
0.666 0.666 0.000
0.833 0.500 0.500
0.833 0.833 0.500
0.500 0.500 0.500
```